Starting from a crystal structure in Alexandria, relaxed with PBE+U, the X-ray diffraction stick pattern of Sr2VZn2O6 was calculated for Cu Kα, 1.54184 Å.
Lines closer than 0.1° are merged.

Crystal structure
Lattice parameters (Å, degrees): 6.2040 6.2040 6.2040 56.58 56.58 56.58
Element x y z (fractional)
Sr 0.2090 0.2090 0.2090
Sr 0.7910 0.7910 0.7910
V 0.0000 0.0000 0.0000
Zn 0.4110 0.4110 0.4110
Zn 0.5890 0.5890 0.5890
O 0.2202 0.7699 0.7699
O 0.2301 0.2301 0.7798
O 0.2301 0.7798 0.2301
O 0.7699 0.2202 0.7699
O 0.7699 0.7699 0.2202
O 0.7798 0.2301 0.2301

Most intense lines, 10 to 90 degrees two-theta, by angle:
2theta	d_spacing	intensity
30.4	2.940	100.0
33.7	2.658	78.1
46.0	1.972	32.0
54.0	1.698	18.8
56.2	1.638	41.8
63.3	1.470	19.3